NaZrInP2SO12: theoretical powder diffraction line list (Cu Kα), based on the GGA-PBE geometry in the Materials Project.
Neutral-atom scattering factors, no anomalous dispersion.

Crystal structure
Unit cell a=15.3858 b=8.9015 c=9.3807 alpha=90.00 beta=123.29 gamma=90.00
Space group Cc (No. 9)
One atom of each set of equivalent atoms:
Na 0.0000 0.2420 0.0000 x4
Zr 0.1451 0.2495 0.4481 x4
In 0.3476 0.2610 0.0607 x4
P 0.1036 0.1067 0.7591 x4
P 0.2499 0.4569 0.2578 x4
S 0.3948 0.1018 0.7588 x4
O 0.0063 0.1786 0.7380 x4
O 0.1013 0.0679 0.2778 x4
O 0.1079 0.1352 0.5986 x4
O 0.1726 0.3598 0.2778 x4
O 0.1836 0.4411 0.5980 x4
O 0.1988 0.1698 0.9210 x4
O 0.3032 0.1706 0.6044 x4
O 0.3197 0.4507 0.9181 x4
O 0.3236 0.3519 0.2426 x4
O 0.3955 0.1271 0.9134 x4
O 0.3997 0.0606 0.2370 x4
O 0.4872 0.1752 0.7741 x4

Peak list (10 most intense, 2θ = 10–90°, by angle)
- d = 6.442 Å, 2θ 13.75, I = 37, hkl 2 0 0
- d = 4.674 Å, 2θ 18.99, I = 79, hkl 2 0 -2
- d = 4.446 Å, 2θ 19.97, I = 100, hkl 0 2 0
- d = 3.868 Å, 2θ 22.99, I = 84, hkl 0 2 1
- d = 3.221 Å, 2θ 27.69, I = 54, hkl 4 0 0
- d = 2.941 Å, 2θ 30.40, I = 100, hkl 3 1 1
- d = 2.609 Å, 2θ 34.38, I = 22, hkl 5 1 -3
- d = 2.567 Å, 2θ 34.95, I = 44, hkl 6 0 -2
- d = 1.935 Å, 2θ 46.95, I = 23, hkl 6 2 -4
- d = 1.830 Å, 2θ 49.82, I = 20, hkl 5 1 -5